Structure and simulated powder diffraction line list of NaNdH2S2O9 (a DFT-relaxed cell (PBE, Alexandria); copper Kα).
Neutral-atom scattering factors, no anomalous dispersion.

Cell lengths 7.0491, 7.0491, 13.0172 Å; angles 90.00, 90.00, 120.00 degrees
Space group P3_121 (No. 152)
Inequivalent atoms, fractional coordinates:
Na  0.0000  0.4752  0.1667 x3
Nd  0.0000  0.4357  0.6667 x3
H  0.0488  0.1014  0.3697 x6
S  0.0134  0.4567  0.9091 x6
O  0.0000  0.0816  0.6667 x3
O  0.1206  0.6195  0.3498 x6
O  0.1278  0.3902  0.4905 x6
O  0.1332  0.6441  0.8368 x6
O  0.1667  0.4123  0.9690 x6

Main lines, in order of rising 2θ (15 to 90 degrees two-theta):
hkl 1 0 1, 16.0 deg, I 100; hkl 1 1 0, 25.3 deg, I 42; hkl 2 0 0, 29.3 deg, I 63; hkl 1 0 4, 31.1 deg, I 71; hkl 2 1 2, 41.5 deg, I 26; hkl 1 2 4, 48.4 deg, I 44